1.
Theoretical XRD peak list of Hf4BeGa3 for Cu Kα, from the PBE geometry in Alexandria.
Neutral-atom scattering factors, no anomalous dispersion.

Most intense lines, 10° ≤ 2θ ≤ 90°, most intense first:
(hkl)	two_theta	I_rel
1 1 1	34.60	100
0 1 3	35.40	47
1 0 2	30.05	40
1 1 3	43.27	31
0 0 4	35.90	25
2 2 0	70.11	24
0 2 0	46.54	21
2 1 3	62.13	19
2 0 0	49.28	18
1 0 4	43.69	17

Crystal structure
```
data_Hf4BeGa3
_chemical_formula_sum 'Hf4 Be1 Ga3'
_space_group_name_H-M_alt 'P m m 2'
_space_group_IT_number 25
_cell_length_a 3.6981
_cell_length_b 3.9025
_cell_length_c 10.0062
_cell_angle_alpha 90.00
_cell_angle_beta 90.00
_cell_angle_gamma 90.00
loop_
_space_group_symop_operation_xyz
'x,y,z'
'-x,-y,z'
'-x,y,z'
'x,-y,z'
loop_
_atom_site_label
_atom_site_type_symbol
_atom_site_fract_x
_atom_site_fract_y
_atom_site_fract_z
_atom_site_occupancy
Hf1 Hf 0.0000 0.0000 0.0000 1
Hf2 Hf 0.0000 0.5000 0.4832 1
Hf3 Hf 0.5000 0.0000 0.6986 1
Hf4 Hf 0.5000 0.5000 0.2052 1
Be1 Be 0.0000 0.0000 0.2708 1
Ga1 Ga 0.0000 0.5000 0.7620 1
Ga2 Ga 0.5000 0.0000 0.4159 1
Ga3 Ga 0.5000 0.5000 0.9282 1
```


2.
Theoretical XRD peak list of CaAsIr for Cu Kα, from the PBE geometry in Alexandria.
Neutral-atom scattering factors, no anomalous dispersion.

Most intense lines, 10° ≤ 2θ ≤ 90°, most intense first:
(hkl)	two_theta	I_rel
0 2 0	16.42	100
1 1 2	40.47	91
1 3 0	34.46	60
0 2 2	35.52	33
0 4 2	46.25	27
1 1 0	25.03	25
1 5 0	48.60	20
2 0 0	48.31	18
2 4 2	69.11	16
3 1 2	84.80	14

Crystal structure
```
data_CaAsIr
_chemical_formula_sum 'Ca4 As4 Ir4'
_space_group_name_H-M_alt 'C m c m'
_space_group_IT_number 63
_space_group_name_Hall '-C 2c 2'
_cell_length_a 3.7675
_cell_length_b 10.7965
_cell_length_c 5.7204
_cell_angle_alpha 90.00
_cell_angle_beta 90.00
_cell_angle_gamma 90.00
loop_
_atom_site_label
_atom_site_type_symbol
_atom_site_fract_x
_atom_site_fract_y
_atom_site_fract_z
_atom_site_occupancy
Ca1 Ca 0.0000 0.1859 0.2500 1
As1 As 0.0000 0.0976 0.7500 1
Ir1 Ir 0.0000 0.5000 0.0000 1
```


3.
Theoretical XRD peak list of SrCd3Ag8 for Cu Kα, from the PBE geometry in Alexandria.
Neutral-atom scattering factors, no anomalous dispersion.

Most intense lines, 10° ≤ 2θ ≤ 90°, most intense first:
(hkl)	two_theta	I_rel
1 1 2	37.37	100
0 2 1	38.00	95
1 0 3	34.67	64
2 2 0	66.01	29
1 1 0	31.61	28
0 2 5	63.49	26
2 1 3	58.28	25
2 0 2	41.82	24
0 3 2	60.13	24
0 0 4	39.45	21

Crystal structure
```
data_SrCd3Ag8
_chemical_formula_sum 'Sr1 Cd3 Ag8'
_space_group_name_H-M_alt 'P 3 m 1'
_space_group_IT_number 156
_cell_length_a 5.6613
_cell_length_b 5.6613
_cell_length_c 9.1373
_cell_angle_alpha 90.00
_cell_angle_beta 90.00
_cell_angle_gamma 120.00
loop_
_space_group_symop_operation_xyz
'x,y,z'
'-y,x-y,z'
'-x+y,-x,z'
'-y,-x,z'
'-x+y,y,z'
'x,x-y,z'
loop_
_atom_site_label
_atom_site_type_symbol
_atom_site_fract_x
_atom_site_fract_y
_atom_site_fract_z
_atom_site_occupancy
Sr1 Sr 0.0000 0.0000 0.0000 1
Cd1 Cd 0.0000 0.0000 0.3963 1
Cd2 Cd 0.6667 0.3333 0.4887 1
Cd3 Cd 0.6667 0.3333 0.8323 1
Ag1 Ag 0.1643 0.3287 0.6808 1
Ag2 Ag 0.3333 0.6667 0.4358 1
Ag3 Ag 0.3333 0.6667 0.9365 1
Ag4 Ag 0.5035 0.0070 0.1938 1
```


4.
Theoretical XRD peak list of TlTe3 for Cu Kα, from the PBE geometry in Alexandria.
Neutral-atom scattering factors, no anomalous dispersion.

Most intense lines, 10° ≤ 2θ ≤ 90°, most intense first:
(hkl)	two_theta	I_rel
0 2 2	29.57	100
1 0 1	26.64	84
1 2 1	31.93	79
1 2 3	47.28	37
0 4 0	35.00	30
2 2 2	57.99	30
2 0 0	48.71	29
1 4 1	44.50	29
0 3 1	28.70	17
2 4 0	61.36	16

Crystal structure
```
data_TlTe3
_chemical_formula_sum 'Tl2 Te6'
_space_group_name_H-M_alt 'I m m 2'
_space_group_IT_number 44
_cell_length_a 3.7418
_cell_length_b 10.2627
_cell_length_c 7.4726
_cell_angle_alpha 90.00
_cell_angle_beta 90.00
_cell_angle_gamma 90.00
loop_
_space_group_symop_operation_xyz
'x,y,z'
'-x,-y,z'
'-x,y,z'
'x,-y,z'
'x+1/2,y+1/2,z+1/2'
'-x+1/2,-y+1/2,z+1/2'
'-x+1/2,y+1/2,z+1/2'
'x+1/2,-y+1/2,z+1/2'
loop_
_atom_site_label
_atom_site_type_symbol
_atom_site_fract_x
_atom_site_fract_y
_atom_site_fract_z
_atom_site_occupancy
Tl1 Tl 0.0000 0.0000 0.0000 1
Te1 Te 0.0000 0.2949 0.2321 1
Te2 Te 0.0000 0.5000 0.9936 1
```